For Tb3SmPd, a DFT-relaxed cell (PBE, Alexandria) gives the computed XRD peak list in this record (λ = 1.5418 Å (Cu Kα)).

Peak list (12 most intense, 10 to 90 degrees two-theta, in order of rising 2θ)
hkl  two_theta  d_spacing  I/Imax
2 2 0  29.05  3.074  586
0 0 2  29.82  2.996  501
4 0 -2  29.98  2.980  444
2 2 -2  30.13  2.966  1000
2 0 1  32.49  2.756  228
4 0 -1  32.60  2.746  298
1 3 -1  33.03  2.712  482
4 0 -3  34.54  2.597  494
2 2 1  38.82  2.320  317
1 3 1  39.06  2.306  310
2 2 -4  53.77  1.705  240
6 2 -4  54.02  1.697  305

Structural model:
Unit cell a=11.951 b=8.624 c=8.171 alpha=90.00 beta=132.83 gamma=90.00
Space group C2/m (No. 12)
Asymmetric unit:
Tb 0.052 0.000 0.335 [4 per cell]
Tb 0.245 0.304 0.780 [8 per cell]
Sm 0.058 0.500 0.274 [4 per cell]
Pd 0.250 0.000 0.881 [4 per cell]

For Pm7SmSc3, a DFT-relaxed cell (PBE, Alexandria) gives the computed XRD peak list in this record (λ = 1.5418 Å (Cu Kα)).

Peak list (12 most intense, 10 to 90 degrees two-theta, in order of rising 2θ)
hkl  two_theta  d_spacing  I/Imax
0 2 2  22.77  3.905  277
0 3 1  26.09  3.416  461
1 0 3  28.08  3.178  369
2 0 0  30.69  2.913  698
0 0 4  31.46  2.843  361
1 2 3  32.75  2.735  560
1 3 2  33.33  2.688  1000
2 3 1  40.71  2.217  286
2 0 4  44.53  2.035  276
0 3 5  47.34  1.920  213
1 5 2  47.87  1.900  204
2 3 5  57.49  1.603  241

Structural model:
Unit cell a=5.826 b=10.744 c=11.373 alpha=90.00 beta=90.00 gamma=90.00
Space group Immm (No. 71)
Asymmetric unit:
Pm 0.000 0.000 0.000 [2 per cell]
Pm 0.000 0.197 0.500 [4 per cell]
Pm 0.000 0.310 0.208 [8 per cell]
Sm 0.000 0.500 0.500 [2 per cell]
Sc 0.000 0.000 0.291 [4 per cell]
Sc 0.000 0.500 0.000 [2 per cell]

For BiAuS, a DFT-relaxed cell (PBE, Alexandria) gives the computed XRD peak list in this record (λ = 1.5418 Å (Cu Kα)).

Peak list (12 most intense, 10 to 90 degrees two-theta, in order of rising 2θ)
hkl  two_theta  d_spacing  I/Imax
1 1 0  10.74  8.235  1000
2 1 1  21.23  4.185  154
1 3 1  26.22  3.398  116
4 1 0  28.68  3.113  98
3 2 1  30.46  2.935  626
1 2 2  31.66  2.826  363
0 4 2  37.00  2.430  172
5 1 1  37.64  2.390  340
5 -3 2  38.64  2.330  146
7 -3 1  40.81  2.211  100
1 7 0  48.17  1.889  127
5 -1 3  50.61  1.804  105

Structural model:
Unit cell a=16.4700 b=16.4700 c=6.6386 alpha=90.00 beta=90.00 gamma=120.00
Space group R-3 (No. 148, hexagonal axes)
Asymmetric unit:
Bi 0.0535 0.5645 0.2737 [18 per cell]
Au 0.0087 0.2580 0.8027 [18 per cell]
S 0.0930 0.2175 0.2079 [18 per cell]

For TbTm3C8, a DFT-relaxed cell (PBE, Alexandria) gives the computed XRD peak list in this record (λ = 1.5418 Å (Cu Kα)).

Peak list (12 most intense, 10 to 90 degrees two-theta, in order of rising 2θ)
hkl  two_theta  d_spacing  I/Imax
2 2 0  27.00  3.302  1000
0 2 2  28.97  3.082  918
2 0 2  29.74  3.005  941
0 4 0  37.34  2.408  311
4 0 0  39.74  2.268  260
0 0 4  45.23  2.005  131
2 4 2  48.44  1.879  532
4 2 2  49.92  1.827  455
2 2 4  53.46  1.714  321
4 4 0  55.67  1.651  178
6 4 2  78.39  1.220  121
2 6 4  79.32  1.208  122

Structural model:
Unit cell a=9.073 b=9.632 c=8.020 alpha=90.00 beta=90.00 gamma=90.00
Space group Fmm2 (No. 42)
Asymmetric unit:
Tb 0.000 0.000 0.000 [4 per cell]
Tm 0.000 0.000 0.490 [4 per cell]
Tm 0.250 0.250 0.281 [8 per cell]
C 0.000 0.166 0.247 [8 per cell]
C 0.000 0.246 0.115 [8 per cell]
C 0.165 0.000 0.730 [8 per cell]
C 0.247 0.000 0.357 [8 per cell]